Diffraction record for PrSm2YHo. The X-ray diffraction stick pattern is calculated, not measured: it uses a structure optimized by DFT (GGA-PBE) and λ = 1.5418 Å (Cu Kα).
No peak broadening, texture or thermal motion is included.

Crystal structure
```
PrSm2YHo
1.0
8.387 0.000 0.000
0.000 6.279 0.000
-0.957 0.000 6.714
Pr Sm Y Ho
2 4 2 2
direct
0.000 0.000 0.000
0.000 0.000 0.500
0.330 0.380 0.113
0.330 0.620 0.613
0.670 0.380 0.387
0.670 0.620 0.887
0.000 0.468 0.750
0.000 0.532 0.250
0.500 0.117 0.750
0.500 0.883 0.250
```

Largest 8 diffraction maxima, by intensity, 2θ from 10° to 90°:
| 2theta | I (rel.) |
| --- | --- |
| 33.37 | 100 |
| 32.67 | 82 |
| 30.41 | 62 |
| 27.21 | 56 |
| 25.73 | 53 |
| 31.46 | 39 |
| 21.40 | 28 |
| 34.96 | 27 |



Diffraction record for U2IBr8. The X-ray diffraction stick pattern is calculated, not measured: it uses a structure optimized by DFT (GGA-PBE) and λ = 1.5418 Å (Cu Kα).
No peak broadening, texture or thermal motion is included.

Crystal structure
```
U2IBr8
1.0
9.897 -5.790 0.000
9.897 5.790 0.000
-1.581 0.000 5.457
U I Br
2 1 8
direct
0.163 0.163 0.164
0.837 0.837 0.836
0.000 0.000 0.000
0.071 0.614 0.845
0.154 0.154 0.654
0.302 0.302 0.303
0.386 0.929 0.155
0.614 0.071 0.845
0.698 0.698 0.697
0.846 0.846 0.346
0.929 0.386 0.155
```

Largest 8 diffraction maxima, by intensity, 2θ from 10° to 90°:
| 2theta | I (rel.) |
| --- | --- |
| 17.39 | 100 |
| 15.30 | 60 |
| 28.16 | 51 |
| 15.94 | 47 |
| 16.28 | 47 |
| 31.49 | 47 |
| 30.89 | 46 |
| 44.69 | 33 |